# 1
This entry pairs a crystal structure of B5W12C3 with its simulated X-ray diffraction stick pattern. Radiation: Cu Kα (weighted mean of Kα1 and Kα2). Structure: a crystal structure in OQMD, relaxed with GGA-PBE.
Peak positions follow from Bragg's law for the DFT cell and can differ from measured ones.

Principal peaks in the range 15° ≤ 2θ ≤ 90°, sorted by position:
Position (°2θ), I (rel.)
32.79, 28
36.07, 58
39.66, 83
40.95, 100
48.19, 36
73.35, 28

a b c (Å): 9.4615 9.4615 3.1363
angles (deg): 90.00 90.00 120.00
Positions (direct):
B  0.0000  0.7219  0.0000
B  0.2781  0.2781  0.0000
B  0.3333  0.6667  0.0000
B  0.6667  0.3333  0.0000
B  0.7219  0.0000  0.0000
W  0.0000  0.1692  0.0000
W  0.0000  0.4693  0.0000
W  0.1692  0.0000  0.0000
W  0.1948  0.7427  0.5000
W  0.2573  0.4521  0.5000
W  0.4521  0.2573  0.5000
W  0.4693  0.0000  0.0000
W  0.5307  0.5307  0.0000
W  0.5479  0.8052  0.5000
W  0.7427  0.1948  0.5000
W  0.8052  0.5479  0.5000
W  0.8308  0.8308  0.0000
C  0.0000  0.3112  0.5000
C  0.3112  0.0000  0.5000
C  0.6888  0.6888  0.5000

# 2
This entry pairs a crystal structure of CsAgGe with its simulated X-ray diffraction stick pattern. Radiation: Cu Kα (weighted mean of Kα1 and Kα2). Structure: a crystal structure in OQMD, relaxed with GGA-PBE.
Peak positions follow from Bragg's law for the DFT cell and can differ from measured ones.

Principal peaks in the range 15° ≤ 2θ ≤ 90°, sorted by position:
Position (°2θ), I (rel.)
20.27, 37
33.39, 100
39.37, 19
47.94, 18
59.68, 36
79.94, 15

a b c (Å): 5.3669 5.3669 5.3669
angles (deg): 60.00 60.00 60.00
Positions (direct):
Cs  0.0000  0.0000  0.0000
Ag  0.2500  0.2500  0.2500
Ge  0.5000  0.5000  0.5000

# 3
This entry pairs a crystal structure of KCu2OsSe4 with its simulated X-ray diffraction stick pattern. Radiation: Cu Kα (weighted mean of Kα1 and Kα2). Structure: a crystal structure in OQMD, relaxed with GGA-PBE.
Peak positions follow from Bragg's law for the DFT cell and can differ from measured ones.

Principal peaks in the range 15° ≤ 2θ ≤ 90°, sorted by position:
Position (°2θ), I (rel.)
15.04, 100
16.03, 36
28.17, 35
28.70, 41
34.56, 23
43.88, 67

a b c (Å): 7.5226 9.8986 9.8986
angles (deg): 146.03 90.00 90.00
Positions (direct):
K  0.2500  0.1863  0.8137
K  0.7500  0.8137  0.1863
Cu  0.0000  0.2713  0.2713
Cu  0.2500  0.6252  0.8513
Cu  0.5000  0.2713  0.2713
Cu  0.7500  0.8513  0.6252
Os  0.2500  0.1210  0.3480
Os  0.7500  0.3480  0.1210
Se  0.0053  0.5906  0.3695
Se  0.2500  0.7793  0.2081
Se  0.2500  0.9869  0.0063
Se  0.4947  0.5906  0.3695
Se  0.5053  0.3695  0.5906
Se  0.7500  0.0063  0.9869
Se  0.7500  0.2081  0.7793
Se  0.9947  0.3695  0.5906

# 4
This entry pairs a crystal structure of Li2Zr2CoSn2Pd with its simulated X-ray diffraction stick pattern. Radiation: Cu Kα (weighted mean of Kα1 and Kα2). Structure: a crystal structure in OQMD, relaxed with GGA-PBE.
Peak positions follow from Bragg's law for the DFT cell and can differ from measured ones.

Principal peaks in the range 15° ≤ 2θ ≤ 90°, sorted by position:
Position (°2θ), I (rel.)
24.00, 29
27.86, 21
39.64, 100
39.81, 50
57.57, 17
72.16, 34

a b c (Å): 4.5284 4.5284 6.4571
angles (deg): 90.00 90.00 90.00
Positions (direct):
Li  0.0000  0.0000  0.0000
Li  0.5000  0.5000  0.5000
Zr  0.0000  0.5000  0.2378
Zr  0.5000  0.0000  0.7622
Co  0.5000  0.5000  0.0000
Sn  0.0000  0.5000  0.7582
Sn  0.5000  0.0000  0.2418
Pd  0.0000  0.0000  0.5000

# 5
This entry pairs a crystal structure of Ni2Sn9 with its simulated X-ray diffraction stick pattern. Radiation: Cu Kα (weighted mean of Kα1 and Kα2). Structure: a crystal structure in OQMD, relaxed with GGA-PBE.
Peak positions follow from Bragg's law for the DFT cell and can differ from measured ones.

Principal peaks in the range 15° ≤ 2θ ≤ 90°, sorted by position:
Position (°2θ), I (rel.)
32.17, 82
36.62, 100
40.64, 19
58.83, 25
63.14, 23
65.93, 23

a b c (Å): 9.0169 9.0169 9.0169
angles (deg): 109.47 109.47 109.47
Positions (direct):
Ni  0.0000  0.0000  0.3411
Ni  0.0000  0.3411  0.0000
Ni  0.3411  0.0000  0.0000
Ni  0.6589  0.6589  0.6589
Sn  0.0000  0.2358  0.6323
Sn  0.0000  0.2406  0.2406
Sn  0.0000  0.6323  0.2358
Sn  0.0000  0.7594  0.7594
Sn  0.2358  0.0000  0.6323
Sn  0.2358  0.6323  0.0000
Sn  0.2406  0.0000  0.2406
Sn  0.2406  0.2406  0.0000
Sn  0.3677  0.3677  0.6035
Sn  0.3677  0.6035  0.3677
Sn  0.3965  0.7642  0.7642
Sn  0.6035  0.3677  0.3677
Sn  0.6323  0.0000  0.2358
Sn  0.6323  0.2358  0.0000
Sn  0.7594  0.0000  0.7594
Sn  0.7594  0.7594  0.0000
Sn  0.7642  0.3965  0.7642
Sn  0.7642  0.7642  0.3965

# 6
This entry pairs a crystal structure of Nd4Sc4O11 with its simulated X-ray diffraction stick pattern. Radiation: Cu Kα (weighted mean of Kα1 and Kα2). Structure: a crystal structure in OQMD, relaxed with GGA-PBE.
Peak positions follow from Bragg's law for the DFT cell and can differ from measured ones.

Principal peaks in the range 15° ≤ 2θ ≤ 90°, sorted by position:
Position (°2θ), I (rel.)
22.22, 60
30.97, 41
31.53, 95
31.63, 100
32.08, 48
45.34, 47

a b c (Å): 5.5797 5.7754 8.0004
angles (deg): 89.83 89.93 89.67
Positions (direct):
Nd  0.0000  0.0000  0.0000
Nd  0.0235  0.1051  0.4974
Nd  0.4952  0.6124  0.5030
Nd  0.5277  0.4995  0.0048
Sc  0.0063  0.5542  0.7519
Sc  0.0131  0.5540  0.2515
Sc  0.5125  0.0526  0.7531
Sc  0.5135  0.0544  0.2524
O  0.1213  0.5927  0.0004
O  0.2118  0.8512  0.6938
O  0.2144  0.8524  0.3071
O  0.3151  0.3552  0.3129
O  0.4032  0.0971  0.0016
O  0.6145  0.0185  0.5038
O  0.7094  0.7544  0.8095
O  0.7159  0.7584  0.1933
O  0.8094  0.2555  0.8082
O  0.8161  0.2537  0.1945
O  0.9048  0.5149  0.5027

# 7
This entry pairs a crystal structure of Cu3Ag with its simulated X-ray diffraction stick pattern. Radiation: Cu Kα (weighted mean of Kα1 and Kα2). Structure: a crystal structure in OQMD, relaxed with GGA-PBE.
Peak positions follow from Bragg's law for the DFT cell and can differ from measured ones.

Principal peaks in the range 15° ≤ 2θ ≤ 90°, sorted by position:
Position (°2θ), I (rel.)
41.50, 100
41.69, 98
46.87, 68
51.38, 24
72.02, 16
72.13, 16

a b c (Å): 4.6937 4.6937 9.0014
angles (deg): 103.82 103.82 33.83
Positions (direct):
Cu  0.1122  0.1122  0.1793
Cu  0.3689  0.3689  0.5685
Cu  0.3723  0.3723  0.0500
Cu  0.6277  0.6277  0.9500
Cu  0.6311  0.6311  0.4315
Cu  0.8878  0.8878  0.8207
Ag  0.1274  0.1274  0.6896
Ag  0.8726  0.8726  0.3104

# 8
This entry pairs a crystal structure of Gd2TeO6 with its simulated X-ray diffraction stick pattern. Radiation: Cu Kα (weighted mean of Kα1 and Kα2). Structure: a crystal structure in OQMD, relaxed with GGA-PBE.
Peak positions follow from Bragg's law for the DFT cell and can differ from measured ones.

Principal peaks in the range 15° ≤ 2θ ≤ 90°, sorted by position:
Position (°2θ), I (rel.)
25.74, 48
26.37, 88
27.27, 100
30.71, 33
33.24, 59
33.77, 36

a b c (Å): 5.3085 9.1301 9.9907
angles (deg): 90.00 90.00 90.00
Positions (direct):
Gd  0.0236  0.1041  0.0381
Gd  0.0369  0.2176  0.6345
Gd  0.4631  0.7824  0.1345
Gd  0.4764  0.8959  0.5381
Gd  0.5236  0.3959  0.9619
Gd  0.5369  0.2824  0.3655
Gd  0.9631  0.7176  0.8655
Gd  0.9764  0.6041  0.4619
Te  0.0412  0.4950  0.1472
Te  0.4588  0.5050  0.6472
Te  0.5412  0.0050  0.8528
Te  0.9588  0.9950  0.3528
O  0.0767  0.8466  0.4760
O  0.1701  0.9479  0.2042
O  0.1832  0.6420  0.6786
O  0.1877  0.6402  0.2626
O  0.2296  0.1134  0.4326
O  0.2486  0.5872  0.0063
O  0.2514  0.4128  0.5063
O  0.2704  0.8866  0.9326
O  0.3123  0.3598  0.7626
O  0.3168  0.3580  0.1786
O  0.3299  0.0521  0.7042
O  0.4233  0.1534  0.9760
O  0.5767  0.6534  0.5240
O  0.6701  0.5521  0.7958
O  0.6832  0.8580  0.3214
O  0.6877  0.8598  0.7374
O  0.7296  0.3866  0.5674
O  0.7486  0.9128  0.9937
O  0.7514  0.0872  0.4937
O  0.7704  0.6134  0.0674
O  0.8123  0.1402  0.2374
O  0.8168  0.1420  0.8214
O  0.8299  0.4479  0.2958
O  0.9233  0.3466  0.0240

# 9
This entry pairs a crystal structure of AlTlPd2 with its simulated X-ray diffraction stick pattern. Radiation: Cu Kα (weighted mean of Kα1 and Kα2). Structure: a crystal structure in OQMD, relaxed with GGA-PBE.
Peak positions follow from Bragg's law for the DFT cell and can differ from measured ones.

Principal peaks in the range 15° ≤ 2θ ≤ 90°, sorted by position:
Position (°2θ), I (rel.)
23.76, 54
39.24, 100
39.37, 50
46.50, 19
71.05, 17
71.30, 34

a b c (Å): 4.5913 4.5913 4.5913
angles (deg): 120.20 120.20 89.65
Positions (direct):
Al  0.0000  0.0000  0.0000
Tl  0.5000  0.5000  0.0000
Pd  0.2500  0.7500  0.5000
Pd  0.7500  0.2500  0.5000

# 10
This entry pairs a crystal structure of SrIn3Ag3 with its simulated X-ray diffraction stick pattern. Radiation: Cu Kα (weighted mean of Kα1 and Kα2). Structure: a crystal structure in OQMD, relaxed with GGA-PBE.
Peak positions follow from Bragg's law for the DFT cell and can differ from measured ones.

Principal peaks in the range 15° ≤ 2θ ≤ 90°, sorted by position:
Position (°2θ), I (rel.)
31.08, 32
31.27, 100
34.75, 23
38.43, 45
39.49, 31
41.90, 42

a b c (Å): 4.6847 7.8406 9.2798
angles (deg): 90.00 90.00 90.00
Positions (direct):
Sr  0.2500  0.2500  0.2428
Sr  0.7500  0.7500  0.7572
In  0.2500  0.0538  0.6184
In  0.2500  0.4462  0.6184
In  0.2500  0.7500  0.1323
In  0.7500  0.2500  0.8677
In  0.7500  0.5538  0.3816
In  0.7500  0.9462  0.3816
Ag  0.2500  0.0276  0.9177
Ag  0.2500  0.4724  0.9177
Ag  0.2500  0.7500  0.4528
Ag  0.7500  0.2500  0.5472
Ag  0.7500  0.5276  0.0823
Ag  0.7500  0.9724  0.0823

# 11
This entry pairs a crystal structure of Cs2Li2HfTe4 with its simulated X-ray diffraction stick pattern. Radiation: Cu Kα (weighted mean of Kα1 and Kα2). Structure: a crystal structure in OQMD, relaxed with GGA-PBE.
Peak positions follow from Bragg's law for the DFT cell and can differ from measured ones.

Principal peaks in the range 15° ≤ 2θ ≤ 90°, sorted by position:
Position (°2θ), I (rel.)
25.71, 100
26.39, 27
35.67, 12
37.66, 28
44.92, 27
46.16, 42

a b c (Å): 8.2723 8.2723 6.7489
angles (deg): 90.00 90.00 131.75
Positions (direct):
Cs  0.0000  0.5000  0.2405
Cs  0.5000  0.0000  0.7595
Li  0.0000  0.0000  0.0000
Li  0.5000  0.5000  0.5000
Hf  0.0000  0.0000  0.5000
Te  0.1362  0.3383  0.7362
Te  0.3383  0.1362  0.2638
Te  0.6617  0.8638  0.2638
Te  0.8638  0.6617  0.7362

# 12
This entry pairs a crystal structure of Cs2Rb2IrO4 with its simulated X-ray diffraction stick pattern. Radiation: Cu Kα (weighted mean of Kα1 and Kα2). Structure: a crystal structure in OQMD, relaxed with GGA-PBE.
Peak positions follow from Bragg's law for the DFT cell and can differ from measured ones.

Principal peaks in the range 15° ≤ 2θ ≤ 90°, sorted by position:
Position (°2θ), I (rel.)
26.83, 53
27.04, 48
30.11, 100
31.10, 85
38.46, 54
50.13, 23

a b c (Å): 6.0877 6.0877 6.3801
angles (deg): 105.50 105.50 66.17
Positions (direct):
Cs  0.1148  0.1148  0.3299
Cs  0.8852  0.8852  0.6701
Rb  0.3091  0.3091  0.9085
Rb  0.6909  0.6909  0.0915
Ir  0.5000  0.5000  0.5000
O  0.1840  0.5959  0.3079
O  0.4041  0.8160  0.6921
O  0.5959  0.1840  0.3079
O  0.8160  0.4041  0.6921